No. 1
Starting from the GGA-PBE geometry in Alexandria, the X-ray diffraction stick pattern of CsK12Hg5 was calculated for Cu Kα.
Peak positions follow from Bragg's law for the DFT cell and can differ from measured ones.

Peak list (10 most intense, 2θ = 10–80°, sorted by position)
2θ/deg	I/Imax
10.5	56.2
13.1	64.2
14.8	43.2
15.0	100.0
21.1	52.3
24.9	60.3
25.9	52.4
27.0	54.7
27.7	66.7
35.5	42.9

Crystal structure
a b c (Å): 10.8131 10.8131 10.8131
angles (deg): 113.65 112.66 102.34
Positions (direct):
Cs 0.0000 0.0000 0.0000
K 0.0871 0.2855 0.8016
K 0.1861 0.4998 0.3137
K 0.1861 0.8724 0.6863
K 0.3245 0.2300 0.5545
K 0.3245 0.7700 0.0945
K 0.4838 0.2855 0.1984
K 0.5162 0.7145 0.8016
K 0.6755 0.2300 0.9055
K 0.6755 0.7700 0.4455
K 0.8139 0.1276 0.3137
K 0.8139 0.5002 0.6863
K 0.9129 0.7145 0.1984
Hg 0.1263 0.5000 0.6263
Hg 0.3900 0.8900 0.5000
Hg 0.5000 0.5000 0.0000
Hg 0.6100 0.1100 0.5000
Hg 0.8737 0.5000 0.3737



No. 2
Starting from the GGA-PBE geometry in Alexandria, the X-ray diffraction stick pattern of Hf4BeCo was calculated for Cu Kα.
Peak positions follow from Bragg's law for the DFT cell and can differ from measured ones.

Peak list (10 most intense, 2θ = 10–80°, sorted by position)
2θ/deg	I/Imax
27.9	12.3
34.8	19.2
35.9	100.0
40.2	8.0
44.7	17.1
45.1	15.3
57.9	7.7
62.4	18.9
63.0	19.7
72.5	13.4

Crystal structure
a b c (Å): 5.2126 5.2126 5.2126
angles (deg): 104.18 104.18 120.66
Positions (direct):
Hf 0.0849 0.5849 0.1698
Hf 0.4151 0.9151 0.8302
Hf 0.5849 0.4151 0.5000
Hf 0.9151 0.0849 0.5000
Be 0.0000 0.0000 0.0000
Co 0.5000 0.5000 0.0000



No. 3
Starting from the GGA-PBE geometry in Alexandria, the X-ray diffraction stick pattern of Pr12ErTm3 was calculated for Cu Kα.
Peak positions follow from Bragg's law for the DFT cell and can differ from measured ones.

Peak list (8 most intense, 2θ = 10–80°, sorted by position)
2θ/deg	I/Imax
29.9	100.0
34.7	50.7
49.9	36.4
59.3	28.9
59.4	14.4
62.2	12.5
73.2	3.9
73.4	1.9

Crystal structure
a b c (Å): 5.1728 5.1728 20.6411
angles (deg): 90.00 90.00 90.00
Positions (direct):
Pr 0.0000 0.0000 0.0000
Pr 0.0000 0.0000 0.2502
Pr 0.0000 0.0000 0.5000
Pr 0.0000 0.0000 0.7498
Pr 0.0000 0.5000 0.1252
Pr 0.0000 0.5000 0.3751
Pr 0.0000 0.5000 0.6249
Pr 0.0000 0.5000 0.8748
Pr 0.5000 0.0000 0.1252
Pr 0.5000 0.0000 0.3751
Pr 0.5000 0.0000 0.6249
Pr 0.5000 0.0000 0.8748
Er 0.5000 0.5000 0.0000
Tm 0.5000 0.5000 0.2502
Tm 0.5000 0.5000 0.5000
Tm 0.5000 0.5000 0.7498



No. 4
Starting from the GGA-PBE geometry in Alexandria, the X-ray diffraction stick pattern of PmY2Tm7 was calculated for Cu Kα.
Peak positions follow from Bragg's law for the DFT cell and can differ from measured ones.

Peak list (10 most intense, 2θ = 10–80°, sorted by position)
2θ/deg	I/Imax
31.1	100.0
36.0	17.0
36.1	33.6
51.9	23.9
52.0	11.9
61.7	14.2
61.9	10.6
61.9	17.6
64.9	12.2
76.7	3.8

Crystal structure
a b c (Å): 6.0886 7.0420 7.8670
angles (deg): 76.96 75.11 73.38
Positions (direct):
Pm 0.0000 0.0000 0.0000
Y 0.2029 0.7984 0.5994
Y 0.7971 0.2016 0.4006
Tm 0.0000 0.5000 0.0000
Tm 0.1993 0.3010 0.6004
Tm 0.3990 0.5993 0.1995
Tm 0.3998 0.1005 0.1993
Tm 0.6002 0.8995 0.8007
Tm 0.6010 0.4007 0.8005
Tm 0.8007 0.6990 0.3996



No. 5
Starting from the GGA-PBE geometry in Alexandria, the X-ray diffraction stick pattern of Ti8Co2Cu was calculated for Cu Kα.
Peak positions follow from Bragg's law for the DFT cell and can differ from measured ones.

Peak list (10 most intense, 2θ = 10–80°, sorted by position)
2θ/deg	I/Imax
25.7	24.7
37.0	72.5
39.7	46.6
39.9	71.2
40.9	31.0
41.5	100.0
42.1	33.2
43.5	67.7
68.9	29.5
74.0	25.3

Crystal structure
a b c (Å): 6.8461 6.8461 4.6367
angles (deg): 101.08 101.08 118.90
Positions (direct):
Ti 0.0991 0.3342 0.5698
Ti 0.2293 0.7707 0.0000
Ti 0.3342 0.0991 0.5698
Ti 0.3943 0.3943 0.1828
Ti 0.6057 0.6057 0.8172
Ti 0.6658 0.9009 0.4302
Ti 0.7707 0.2293 0.0000
Ti 0.9009 0.6658 0.4302
Co 0.2925 0.7075 0.5000
Co 0.7075 0.2925 0.5000
Cu 0.0000 0.0000 0.0000



No. 6
Starting from the GGA-PBE geometry in Alexandria, the X-ray diffraction stick pattern of PtAu5 was calculated for Cu Kα.
Peak positions follow from Bragg's law for the DFT cell and can differ from measured ones.

Peak list (10 most intense, 2θ = 10–80°, sorted by position)
2θ/deg	I/Imax
36.6	32.1
36.8	31.1
40.1	100.0
52.9	22.4
62.7	6.8
68.2	21.3
68.5	20.5
74.9	8.3
75.0	8.1
77.7	3.8

Crystal structure
a b c (Å): 7.7225 7.7225 2.9619
angles (deg): 90.00 90.00 142.89
Positions (direct):
Pt 0.0000 0.0000 0.0000
Au 0.1624 0.8376 0.5000
Au 0.3307 0.6693 0.0000
Au 0.5000 0.5000 0.5000
Au 0.6693 0.3307 0.0000
Au 0.8376 0.1624 0.5000



No. 7
Starting from the GGA-PBE geometry in Alexandria, the X-ray diffraction stick pattern of Zn12Hg was calculated for Cu Kα.
Peak positions follow from Bragg's law for the DFT cell and can differ from measured ones.

Peak list (10 most intense, 2θ = 10–80°, sorted by position)
2θ/deg	I/Imax
27.9	36.9
32.7	21.7
34.6	51.3
38.7	80.6
40.4	100.0
40.9	59.8
44.0	32.1
63.6	31.2
73.0	22.0
74.1	24.0

Crystal structure
a b c (Å): 6.8157 6.8157 6.8157
angles (deg): 99.28 99.28 132.66
Positions (direct):
Zn 0.0000 0.0000 0.5000
Zn 0.0000 0.2248 0.2248
Zn 0.0000 0.5000 0.0000
Zn 0.0000 0.7752 0.7752
Zn 0.1518 0.5000 0.6518
Zn 0.2248 0.0000 0.2248
Zn 0.5000 0.0000 0.0000
Zn 0.5000 0.1518 0.6518
Zn 0.5000 0.5000 0.5000
Zn 0.5000 0.8482 0.3482
Zn 0.7752 0.0000 0.7752
Zn 0.8482 0.5000 0.3482
Hg 0.5000 0.5000 0.0000



No. 8
Starting from the GGA-PBE geometry in Alexandria, the X-ray diffraction stick pattern of Ta2FePt8 was calculated for Cu Kα.
Peak positions follow from Bragg's law for the DFT cell and can differ from measured ones.

Peak list (10 most intense, 2θ = 10–80°, sorted by position)
2θ/deg	I/Imax
39.1	100.0
39.2	96.4
44.7	31.9
45.4	33.6
46.4	30.1
65.6	20.6
66.9	20.4
78.5	11.5
78.7	11.2
79.6	26.0

Crystal structure
a b c (Å): 7.3970 7.3970 6.3982
angles (deg): 106.03 106.03 31.37
Positions (direct):
Ta 0.2203 0.2203 0.1581
Ta 0.7797 0.7797 0.8419
Fe 0.5000 0.5000 0.5000
Pt 0.0428 0.0428 0.2336
Pt 0.1429 0.1429 0.6954
Pt 0.3216 0.3216 0.5882
Pt 0.4010 0.4010 0.0504
Pt 0.5990 0.5990 0.9496
Pt 0.6784 0.6784 0.4118
Pt 0.8571 0.8571 0.3046
Pt 0.9572 0.9572 0.7664



No. 9
Starting from the GGA-PBE geometry in Alexandria, the X-ray diffraction stick pattern of BaTl2HgPd2 was calculated for Cu Kα.
Peak positions follow from Bragg's law for the DFT cell and can differ from measured ones.

Peak list (10 most intense, 2θ = 10–80°, sorted by position)
2θ/deg	I/Imax
14.7	29.6
27.6	97.2
29.7	60.1
33.1	100.0
45.0	77.5
47.4	36.6
51.4	24.4
55.8	28.7
57.0	38.7
72.5	17.9

Crystal structure
a b c (Å): 7.1376 7.1376 7.1376
angles (deg): 135.37 135.37 64.96
Positions (direct):
Ba 0.0000 0.0000 0.0000
Tl 0.2500 0.7500 0.5000
Tl 0.7500 0.2500 0.5000
Hg 0.5000 0.5000 0.0000
Pd 0.2761 0.2761 0.0000
Pd 0.7239 0.7239 0.0000



No. 10
Starting from the GGA-PBE geometry in Alexandria, the X-ray diffraction stick pattern of Cs2ErU2S6 was calculated for Cu Kα.
Peak positions follow from Bragg's law for the DFT cell and can differ from measured ones.

Peak list (10 most intense, 2θ = 10–80°, sorted by position)
2θ/deg	I/Imax
10.7	62.9
21.5	36.7
25.8	13.2
26.5	54.5
29.4	100.0
38.7	12.9
38.9	25.7
44.8	14.9
45.0	40.0
50.4	16.2

Crystal structure
a b c (Å): 6.9816 6.9816 8.5807
angles (deg): 97.65 97.65 119.98
Positions (direct):
Cs 0.1657 0.8343 0.0000
Cs 0.8343 0.1657 0.0000
Er 0.0000 0.0000 0.5000
U 0.3341 0.6659 0.5000
U 0.6659 0.3341 0.5000
S 0.0567 0.3911 0.6762
S 0.2737 0.2737 0.3234
S 0.3911 0.0567 0.6762
S 0.6089 0.9433 0.3238
S 0.7263 0.7263 0.6766
S 0.9433 0.6089 0.3238



No. 11
Starting from the GGA-PBE geometry in Alexandria, the X-ray diffraction stick pattern of AgS8 was calculated for Cu Kα.
Peak positions follow from Bragg's law for the DFT cell and can differ from measured ones.

Peak list (10 most intense, 2θ = 10–80°, sorted by position)
2θ/deg	I/Imax
16.3	14.8
21.8	100.0
24.4	14.8
29.4	15.1
32.9	13.5
38.6	74.4
44.5	12.7
50.3	32.1
53.2	12.6
58.1	18.9

Crystal structure
a b c (Å): 6.5786 6.5786 6.5786
angles (deg): 112.51 112.51 103.55
Positions (direct):
Ag 0.0000 0.0000 0.0000
S 0.0000 0.3561 0.3561
S 0.0000 0.6439 0.6439
S 0.3502 0.3502 0.7005
S 0.3502 0.6498 0.0000
S 0.3561 0.0000 0.3561
S 0.6439 0.0000 0.6439
S 0.6498 0.3502 0.0000
S 0.6498 0.6498 0.2995



No. 12
Starting from the GGA-PBE geometry in Alexandria, the X-ray diffraction stick pattern of Ti5Mn3 was calculated for Cu Kα.
Peak positions follow from Bragg's law for the DFT cell and can differ from measured ones.

Peak list (10 most intense, 2θ = 10–80°, sorted by position)
2θ/deg	I/Imax
21.3	5.2
41.6	100.0
42.3	51.5
47.9	2.2
53.4	2.1
59.1	6.2
60.2	3.6
61.4	15.3
75.4	11.9
76.9	27.3

Crystal structure
a b c (Å): 3.0197 3.0197 12.4973
angles (deg): 90.00 90.00 90.00
Positions (direct):
Ti 0.0000 0.0000 0.0000
Ti 0.0000 0.0000 0.2295
Ti 0.0000 0.0000 0.7705
Ti 0.5000 0.5000 0.3870
Ti 0.5000 0.5000 0.6130
Mn 0.0000 0.0000 0.5000
Mn 0.5000 0.5000 0.1235
Mn 0.5000 0.5000 0.8765



What did the fourth record say?
Starting from the GGA-PBE geometry in Alexandria, the X-ray diffraction stick pattern of PmY2Tm7 was calculated for Cu Kα.
Peak positions follow from Bragg's law for the DFT cell and can differ from measured ones.

Peak list (10 most intense, 2θ = 10–80°, sorted by position)
2θ/deg	I/Imax
31.1	100.0
36.0	17.0
36.1	33.6
51.9	23.9
52.0	11.9
61.7	14.2
61.9	10.6
61.9	17.6
64.9	12.2
76.7	3.8

Crystal structure
a b c (Å): 6.0886 7.0420 7.8670
angles (deg): 76.96 75.11 73.38
Positions (direct):
Pm 0.0000 0.0000 0.0000
Y 0.2029 0.7984 0.5994
Y 0.7971 0.2016 0.4006
Tm 0.0000 0.5000 0.0000
Tm 0.1993 0.3010 0.6004
Tm 0.3990 0.5993 0.1995
Tm 0.3998 0.1005 0.1993
Tm 0.6002 0.8995 0.8007
Tm 0.6010 0.4007 0.8005
Tm 0.8007 0.6990 0.3996



Q: Number 1 is which compound?
A: CsK12Hg5